(1)
Structure and computed powder diffractogram of Ho6Tl6Cd (the GGA-PBE geometry in Alexandria; CuKα).
Intensities are scaled so that the largest is 100.

Most intense lines, 10 to 90 degrees two-theta, most intense first:
d_spacing  intensity  hkl
2.458  100  2 0 2
2.739  47  1 1 2
2.790  46  2 0 0
1.611  28  2 2 0
2.599  27  0 0 4
1.369  23  2 2 4
2.357  21  1 0 4
3.222  19  1 1 0
1.526  18  1 1 6
5.198  17  0 0 2

Atomic structure:
```
data_Ho6Tl6Cd
_symmetry_space_group_name_H-M 'P 6/m m m'
_symmetry_Int_Tables_number 191
_symmetry_space_group_name_Hall '-P 6 2'
_cell_length_a 6.4441
_cell_length_b 6.4441
_cell_length_c 10.3952
_cell_angle_alpha 90.00
_cell_angle_beta 90.00
_cell_angle_gamma 120.00
loop_
_atom_site_label
_atom_site_type_symbol
_atom_site_fract_x
_atom_site_fract_y
_atom_site_fract_z
Ho1 Ho 0.0000 0.0000 0.1814
Ho2 Ho 0.3333 0.6667 0.0000
Ho3 Ho 0.3333 0.6667 0.5000
Tl1 Tl 0.0000 0.5000 0.2507
Cd1 Cd 0.0000 0.0000 0.5000
```

=====

(2)
Structure and computed powder diffractogram of Tl2SbAs2O6 (the GGA-PBE geometry in Alexandria; CuKα).
Intensities are scaled so that the largest is 100.

Most intense lines, 10 to 90 degrees two-theta, most intense first:
d_spacing  intensity  hkl
3.155  100  1 1 -2
2.705  75  3 1 -1
3.335  49  2 0 1
2.924  44  0 2 0
2.198  38  2 2 1
3.755  34  1 1 1
4.388  23  2 0 0
1.613  21  4 2 -3
1.643  17  3 3 -1
1.729  17  1 3 -2

Atomic structure:
```
data_Tl2SbAs2O6
_symmetry_space_group_name_H-M 'C 1 2/m 1'
_symmetry_Int_Tables_number 12
_cell_length_a 9.212
_cell_length_b 5.847
_cell_length_c 7.545
_cell_angle_alpha 90.00
_cell_angle_beta 107.39
_cell_angle_gamma 90.00
loop_
_symmetry_equiv_pos_as_xyz
'x,y,z'
'-x,-y,-z'
'-x,y,-z'
'x,-y,z'
'x+1/2,y+1/2,z'
'-x+1/2,-y+1/2,-z'
'-x+1/2,y+1/2,-z'
'x+1/2,-y+1/2,z'
loop_
_atom_site_label
_atom_site_type_symbol
_atom_site_fract_x
_atom_site_fract_y
_atom_site_fract_z
Tl1 Tl 0.220 0.000 0.154
Sb1 Sb 0.000 0.000 0.500
As1 As 0.103 0.500 0.263
O1 O 0.019 0.264 0.706
O2 O 0.240 0.000 0.529
```